No. 1
Diffraction record for HoZrCo4. The powder diffraction line list is theoretical, not measured: it uses DFT lattice parameters and positions (PBE) and Cu Kα (weighted mean of Kα1 and Kα2).

Principal peaks in the range 15° ≤ 2θ ≤ 90°, in order of rising 2θ:
2θ (°), d_spacing, Rel. int., (hkl)
22.12, 4.018, 106, 1 1 1
36.52, 2.461, 550, 2 2 0
43.11, 2.098, 1000, 3 1 1
45.13, 2.009, 200, 2 2 2
65.73, 1.421, 195, 4 2 2
70.28, 1.339, 296, 5 1 1
77.60, 1.230, 217, 4 4 0
88.95, 1.100, 89, 6 2 0

Atomic structure:
```
data_HoZrCo4
_chemical_formula_sum 'Ho4 Zr4 Co16'
_space_group_name_H-M_alt 'F -4 3 m'
_space_group_IT_number 216
_space_group_name_Hall 'F -4 2 3'
_cell_length_a 6.9597
_cell_length_b 6.9597
_cell_length_c 6.9597
_cell_angle_alpha 90.00
_cell_angle_beta 90.00
_cell_angle_gamma 90.00
loop_
_atom_site_label
_atom_site_type_symbol
_atom_site_fract_x
_atom_site_fract_y
_atom_site_fract_z
Ho1 Ho 0.0000 0.0000 0.0000
Zr1 Zr 0.2500 0.2500 0.2500
Co1 Co 0.1249 0.1249 0.6249
```

=====

No. 2
Diffraction record for Co3I. The powder diffraction line list is theoretical, not measured: it uses DFT lattice parameters and positions (PBE) and Cu Kα (weighted mean of Kα1 and Kα2).

Principal peaks in the range 15° ≤ 2θ ≤ 90°, in order of rising 2θ:
2θ (°), d_spacing, Rel. int., (hkl)
27.92, 3.195, 222, 1 1 0
28.12, 3.173, 312, 1 0 1
32.35, 2.767, 267, 2 0 0
40.05, 2.251, 1000, 2 0 1
43.26, 2.092, 215, 2 1 0
46.92, 1.937, 181, 0 0 2
55.15, 1.665, 142, 3 0 1
65.40, 1.427, 216, 3 1 1

Atomic structure:
```
data_Co3I
_chemical_formula_sum 'Co6 I2'
_space_group_name_H-M_alt 'P 63/m m c'
_space_group_IT_number 194
_space_group_name_Hall '-P 6c 2c'
_cell_length_a 6.3901
_cell_length_b 6.3901
_cell_length_c 3.8732
_cell_angle_alpha 90.00
_cell_angle_beta 90.00
_cell_angle_gamma 120.00
loop_
_atom_site_label
_atom_site_type_symbol
_atom_site_fract_x
_atom_site_fract_y
_atom_site_fract_z
Co1 Co 0.1269 0.2539 0.2500
I1 I 0.3333 0.6667 0.7500
```

=====

No. 3
Diffraction record for Co3I. The powder diffraction line list is theoretical, not measured: it uses DFT lattice parameters and positions (PBE) and Cu Kα (weighted mean of Kα1 and Kα2).

Principal peaks in the range 15° ≤ 2θ ≤ 90°, in order of rising 2θ:
2θ (°), d_spacing, Rel. int., (hkl)
26.27, 3.392, 138, 1 0 1
41.33, 2.184, 1000, 1 1 2
47.80, 1.903, 322, 2 0 0
48.68, 1.870, 152, 0 0 4
70.61, 1.334, 188, 2 0 4
84.59, 1.146, 229, 3 1 2
85.91, 1.131, 116, 1 1 6
89.79, 1.092, 101, 2 2 4

Atomic structure:
```
data_Co3I
_chemical_formula_sum 'Co6 I2'
_space_group_name_H-M_alt 'I 4/m m m'
_space_group_IT_number 139
_space_group_name_Hall '-I 4 2'
_cell_length_a 3.8056
_cell_length_b 3.8056
_cell_length_c 7.4817
_cell_angle_alpha 90.00
_cell_angle_beta 90.00
_cell_angle_gamma 90.00
loop_
_atom_site_label
_atom_site_type_symbol
_atom_site_fract_x
_atom_site_fract_y
_atom_site_fract_z
Co1 Co 0.0000 0.0000 0.0000
Co2 Co 0.0000 0.5000 0.2500
I1 I 0.0000 0.0000 0.5000
```

=====

No. 4
Diffraction record for K2CoI4. The powder diffraction line list is theoretical, not measured: it uses DFT lattice parameters and positions (PBE) and Cu Kα (weighted mean of Kα1 and Kα2).

Principal peaks in the range 15° ≤ 2θ ≤ 90°, in order of rising 2θ:
2θ (°), d_spacing, Rel. int., (hkl)
24.79, 3.591, 1000, 1 2 0
25.43, 3.503, 970, 1 0 2
27.70, 3.220, 541, 2 1 -2
29.02, 3.077, 732, 0 2 2
36.57, 2.457, 303, 1 0 -4
41.63, 2.169, 576, 3 2 -2
44.69, 2.028, 347, 2 2 -4
51.75, 1.767, 269, 1 4 2

Atomic structure:
```
data_K2CoI4
_chemical_formula_sum 'K4 Co2 I8'
_space_group_name_H-M_alt 'P 1 21/m 1'
_space_group_IT_number 11
_cell_length_a 7.8880
_cell_length_b 8.1837
_cell_length_c 9.8274
_cell_angle_alpha 90.00
_cell_angle_beta 108.22
_cell_angle_gamma 90.00
loop_
_space_group_symop_operation_xyz
'x,y,z'
'-x,-y,-z'
'-x,y+1/2,-z'
'x,-y+1/2,z'
loop_
_atom_site_label
_atom_site_type_symbol
_atom_site_fract_x
_atom_site_fract_y
_atom_site_fract_z
K1 K 0.2180 0.2500 0.0516
K2 K 0.2663 0.2500 0.5682
Co1 Co 0.2223 0.7500 0.7993
I1 I 0.0076 0.5016 0.7401
I2 I 0.3962 0.7500 0.0704
I3 I 0.4165 0.7500 0.6294
```

=====

No. 5
Diffraction record for CoI7N6. The powder diffraction line list is theoretical, not measured: it uses DFT lattice parameters and positions (PBE) and Cu Kα (weighted mean of Kα1 and Kα2).

Principal peaks in the range 15° ≤ 2θ ≤ 90°, in order of rising 2θ:
2θ (°), d_spacing, Rel. int., (hkl)
15.79, 5.613, 477, 2 0 -2
22.82, 3.897, 519, 4 0 -1
22.92, 3.880, 1000, 1 1 -2
23.16, 3.841, 407, 2 0 -3
24.95, 3.569, 527, 3 1 -2
29.67, 3.011, 385, 1 1 -3
30.72, 2.910, 788, 3 1 1
33.67, 2.662, 521, 0 2 0

Atomic structure:
```
data_CoI7N6
_chemical_formula_sum 'Co2 I14 N12'
_space_group_name_H-M_alt 'C 1 2/m 1'
_space_group_IT_number 12
_cell_length_a 15.9200
_cell_length_b 5.3236
_cell_length_c 11.5352
_cell_angle_alpha 90.00
_cell_angle_beta 121.56
_cell_angle_gamma 90.00
loop_
_space_group_symop_operation_xyz
'x,y,z'
'-x,-y,-z'
'-x,y,-z'
'x,-y,z'
'x+1/2,y+1/2,z'
'-x+1/2,-y+1/2,-z'
'-x+1/2,y+1/2,-z'
'x+1/2,-y+1/2,z'
loop_
_atom_site_label
_atom_site_type_symbol
_atom_site_fract_x
_atom_site_fract_y
_atom_site_fract_z
Co1 Co 0.0000 0.0000 0.0000
I1 I 0.0000 0.5000 0.5000
I2 I 0.0810 0.5000 0.2003
I3 I 0.1361 0.0000 0.5748
I4 I 0.2339 0.0000 0.0838
N1 N 0.0277 0.2471 0.9048
N2 N 0.1337 0.0000 0.1360
```

=====

No. 6
Diffraction record for Nd2Co2I. The powder diffraction line list is theoretical, not measured: it uses DFT lattice parameters and positions (PBE) and Cu Kα (weighted mean of Kα1 and Kα2).

Principal peaks in the range 15° ≤ 2θ ≤ 90°, in order of rising 2θ:
2θ (°), d_spacing, Rel. int., (hkl)
25.81, 3.452, 175, 1 0 0
26.31, 3.387, 150, 1 0 1
33.00, 2.715, 1000, 1 0 4
40.38, 2.234, 160, 1 0 6
45.51, 1.993, 411, 1 1 0
57.35, 1.607, 201, 2 0 4
62.96, 1.476, 168, 1 1 8
76.10, 1.251, 173, 2 1 4

Atomic structure:
```
data_Nd2Co2I
_chemical_formula_sum 'Nd4 Co4 I2'
_space_group_name_H-M_alt 'P 63/m m c'
_space_group_IT_number 194
_space_group_name_Hall '-P 6c 2c'
_cell_length_a 3.9860
_cell_length_b 3.9860
_cell_length_c 17.5802
_cell_angle_alpha 90.00
_cell_angle_beta 90.00
_cell_angle_gamma 120.00
loop_
_atom_site_label
_atom_site_type_symbol
_atom_site_fract_x
_atom_site_fract_y
_atom_site_fract_z
Nd1 Nd 0.0000 0.0000 0.1047
Co1 Co 0.3333 0.6667 0.9998
I1 I 0.3333 0.6667 0.2500
```

=====

No. 7
Diffraction record for Pr7CoI12. The powder diffraction line list is theoretical, not measured: it uses DFT lattice parameters and positions (PBE) and Cu Kα (weighted mean of Kα1 and Kα2).

Principal peaks in the range 15° ≤ 2θ ≤ 90°, in order of rising 2θ:
2θ (°), d_spacing, Rel. int., (hkl)
24.27, 3.668, 141, 1 3 1
27.98, 3.189, 1000, 4 -1 2
39.74, 2.268, 357, 1 3 4
40.23, 2.242, 355, 5 2 0
49.71, 1.834, 187, 2 6 2
57.83, 1.594, 151, 8 -2 4
65.11, 1.433, 126, 5 2 6
65.79, 1.419, 136, 9 1 2

Atomic structure:
```
data_Pr7CoI12
_chemical_formula_sum 'Pr21 Co3 I36'
_space_group_name_H-M_alt 'R -3'
_space_group_IT_number 148
_space_group_name_Hall '-R 3'
_cell_length_a 16.1659
_cell_length_b 16.1659
_cell_length_c 11.1768
_cell_angle_alpha 90.00
_cell_angle_beta 90.00
_cell_angle_gamma 120.00
loop_
_atom_site_label
_atom_site_type_symbol
_atom_site_fract_x
_atom_site_fract_y
_atom_site_fract_z
Pr1 Pr 0.0000 0.0000 0.0000
Pr2 Pr 0.0433 0.8856 0.3587
Co1 Co 0.0000 0.0000 0.5000
I1 I 0.0207 0.4338 0.1616
I2 I 0.0505 0.8698 0.8389
```

=====

No. 8
Diffraction record for Pr2Co2I. The powder diffraction line list is theoretical, not measured: it uses DFT lattice parameters and positions (PBE) and Cu Kα (weighted mean of Kα1 and Kα2).

Principal peaks in the range 15° ≤ 2θ ≤ 90°, in order of rising 2θ:
2θ (°), d_spacing, Rel. int., (hkl)
25.54, 3.488, 166, 1 0 0
26.03, 3.423, 150, 1 0 1
32.60, 2.747, 1000, 1 0 4
39.85, 2.262, 153, 1 0 6
45.02, 2.014, 410, 1 1 0
56.68, 1.624, 202, 2 0 4
62.12, 1.494, 174, 1 1 8
75.16, 1.264, 172, 2 1 4

Atomic structure:
```
data_Pr2Co2I
_chemical_formula_sum 'Pr4 Co4 I2'
_space_group_name_H-M_alt 'P 63/m m c'
_space_group_IT_number 194
_space_group_name_Hall '-P 6c 2c'
_cell_length_a 4.0272
_cell_length_b 4.0272
_cell_length_c 17.8357
_cell_angle_alpha 90.00
_cell_angle_beta 90.00
_cell_angle_gamma 120.00
loop_
_atom_site_label
_atom_site_type_symbol
_atom_site_fract_x
_atom_site_fract_y
_atom_site_fract_z
Pr1 Pr 0.0000 0.0000 0.1052
Co1 Co 0.3333 0.6667 0.0010
I1 I 0.3333 0.6667 0.7500
```

=====

No. 9
Diffraction record for CoSI. The powder diffraction line list is theoretical, not measured: it uses DFT lattice parameters and positions (PBE) and Cu Kα (weighted mean of Kα1 and Kα2).

Principal peaks in the range 15° ≤ 2θ ≤ 90°, in order of rising 2θ:
2θ (°), d_spacing, Rel. int., (hkl)
24.52, 3.630, 647, 1 1 1
28.39, 3.144, 258, 2 0 0
40.58, 2.223, 1000, 2 2 0
47.99, 1.896, 320, 3 1 1
58.74, 1.572, 161, 4 0 0
64.61, 1.443, 129, 3 3 1
73.83, 1.283, 321, 4 2 2
87.83, 1.112, 105, 4 4 0

Atomic structure:
```
data_CoSI
_chemical_formula_sum 'Co4 S4 I4'
_space_group_name_H-M_alt 'F -4 3 m'
_space_group_IT_number 216
_space_group_name_Hall 'F -4 2 3'
_cell_length_a 6.2878
_cell_length_b 6.2878
_cell_length_c 6.2878
_cell_angle_alpha 90.00
_cell_angle_beta 90.00
_cell_angle_gamma 90.00
loop_
_atom_site_label
_atom_site_type_symbol
_atom_site_fract_x
_atom_site_fract_y
_atom_site_fract_z
Co1 Co 0.0000 0.0000 0.0000
S1 S 0.2500 0.2500 0.2500
I1 I 0.2500 0.2500 0.7500
```

=====

No. 10
Diffraction record for CoSI. The powder diffraction line list is theoretical, not measured: it uses DFT lattice parameters and positions (PBE) and Cu Kα (weighted mean of Kα1 and Kα2).

Principal peaks in the range 15° ≤ 2θ ≤ 90°, in order of rising 2θ:
2θ (°), d_spacing, Rel. int., (hkl)
29.27, 3.051, 333, 1 1 0
30.11, 2.968, 474, 2 0 -1
31.30, 2.858, 286, 1 1 -1
34.63, 2.590, 1000, 1 1 1
37.29, 2.411, 409, 2 0 -2
39.70, 2.270, 247, 1 1 -2
51.69, 1.768, 288, 3 1 -1
51.91, 1.762, 282, 1 1 -3

Atomic structure:
```
data_CoSI
_chemical_formula_sum 'Co2 S2 I2'
_space_group_name_H-M_alt 'C 1 m 1'
_space_group_IT_number 8
_cell_length_a 6.1504
_cell_length_b 3.5485
_cell_length_c 6.1168
_cell_angle_alpha 90.00
_cell_angle_beta 103.67
_cell_angle_gamma 90.00
loop_
_space_group_symop_operation_xyz
'x,y,z'
'x,-y,z'
'x+1/2,y+1/2,z'
'x+1/2,-y+1/2,z'
loop_
_atom_site_label
_atom_site_type_symbol
_atom_site_fract_x
_atom_site_fract_y
_atom_site_fract_z
Co1 Co 0.0000 0.0000 0.0000
S1 S 0.2079 0.5000 0.1760
I1 I 0.2720 0.0000 0.7280
```

=====

What is the formula in the tenth record? CoSI

=====

Copy entry 3 word for word.
Diffraction record for Co3I. The powder diffraction line list is theoretical, not measured: it uses DFT lattice parameters and positions (PBE) and Cu Kα (weighted mean of Kα1 and Kα2).

Principal peaks in the range 15° ≤ 2θ ≤ 90°, in order of rising 2θ:
2θ (°), d_spacing, Rel. int., (hkl)
26.27, 3.392, 138, 1 0 1
41.33, 2.184, 1000, 1 1 2
47.80, 1.903, 322, 2 0 0
48.68, 1.870, 152, 0 0 4
70.61, 1.334, 188, 2 0 4
84.59, 1.146, 229, 3 1 2
85.91, 1.131, 116, 1 1 6
89.79, 1.092, 101, 2 2 4

Atomic structure:
```
data_Co3I
_chemical_formula_sum 'Co6 I2'
_space_group_name_H-M_alt 'I 4/m m m'
_space_group_IT_number 139
_space_group_name_Hall '-I 4 2'
_cell_length_a 3.8056
_cell_length_b 3.8056
_cell_length_c 7.4817
_cell_angle_alpha 90.00
_cell_angle_beta 90.00
_cell_angle_gamma 90.00
loop_
_atom_site_label
_atom_site_type_symbol
_atom_site_fract_x
_atom_site_fract_y
_atom_site_fract_z
Co1 Co 0.0000 0.0000 0.0000
Co2 Co 0.0000 0.5000 0.2500
I1 I 0.0000 0.0000 0.5000
```

=====

Please write out number 3 again, unchanged.
Diffraction record for Co3I. The powder diffraction line list is theoretical, not measured: it uses DFT lattice parameters and positions (PBE) and Cu Kα (weighted mean of Kα1 and Kα2).

Principal peaks in the range 15° ≤ 2θ ≤ 90°, in order of rising 2θ:
2θ (°), d_spacing, Rel. int., (hkl)
26.27, 3.392, 138, 1 0 1
41.33, 2.184, 1000, 1 1 2
47.80, 1.903, 322, 2 0 0
48.68, 1.870, 152, 0 0 4
70.61, 1.334, 188, 2 0 4
84.59, 1.146, 229, 3 1 2
85.91, 1.131, 116, 1 1 6
89.79, 1.092, 101, 2 2 4

Atomic structure:
```
data_Co3I
_chemical_formula_sum 'Co6 I2'
_space_group_name_H-M_alt 'I 4/m m m'
_space_group_IT_number 139
_space_group_name_Hall '-I 4 2'
_cell_length_a 3.8056
_cell_length_b 3.8056
_cell_length_c 7.4817
_cell_angle_alpha 90.00
_cell_angle_beta 90.00
_cell_angle_gamma 90.00
loop_
_atom_site_label
_atom_site_type_symbol
_atom_site_fract_x
_atom_site_fract_y
_atom_site_fract_z
Co1 Co 0.0000 0.0000 0.0000
Co2 Co 0.0000 0.5000 0.2500
I1 I 0.0000 0.0000 0.5000
```